For Ba2TlAg3O6, a GGA-PBE-relaxed structure gives the simulated powder XRD pattern in this record (copper Kα).
Kinematic intensities with the Lorentz-polarization factor, no thermal factor.

Structure:
```
data_Ba2TlAg3O6
_chemical_formula_sum 'Ba2 Tl1 Ag3 O6'
_space_group_name_H-M_alt 'P 4/m m m'
_space_group_IT_number 123
_space_group_name_Hall '-P 4 2'
_cell_length_a 4.130
_cell_length_b 4.130
_cell_length_c 12.678
_cell_angle_alpha 90.00
_cell_angle_beta 90.00
_cell_angle_gamma 90.00
loop_
_atom_site_label
_atom_site_fract_x
_atom_site_fract_y
_atom_site_fract_z
Ba1 0.000 0.000 0.204
Tl1 0.000 0.000 0.500
Ag1 0.500 0.500 0.000
Ag2 0.500 0.500 0.364
O1 0.000 0.500 0.382
O2 0.500 0.500 0.162
```

Main lines, low angle first (2θ = 10–90°):
30.26 deg, intensity 100, hkl 1 0 3
30.61 deg, intensity 64, hkl 1 1 0
35.71 deg, intensity 26, hkl 1 0 4
43.84 deg, intensity 32, hkl 2 0 0
53.53 deg, intensity 11, hkl 1 1 6
54.20 deg, intensity 39, hkl 2 1 3
57.77 deg, intensity 13, hkl 2 1 4
63.73 deg, intensity 10, hkl 2 2 0
72.16 deg, intensity 8, hkl 3 0 3
72.35 deg, intensity 11, hkl 3 1 0
87.91 deg, intensity 8, hkl 1 0 11
88.42 deg, intensity 10, hkl 3 2 3

---

For TbH3Ru, a GGA-PBE-relaxed structure gives the simulated powder XRD pattern in this record (copper Kα).
Kinematic intensities with the Lorentz-polarization factor, no thermal factor.

Structure:
```
data_TbH3Ru
_chemical_formula_sum 'Tb2 H6 Ru2'
_space_group_name_H-M_alt 'C 1 m 1'
_space_group_IT_number 8
_cell_length_a 4.709
_cell_length_b 4.711
_cell_length_c 4.401
_cell_angle_alpha 90.00
_cell_angle_beta 90.10
_cell_angle_gamma 90.00
loop_
_space_group_symop_operation_xyz
'x,y,z'
'x,-y,z'
'x+1/2,y+1/2,z'
'x+1/2,-y+1/2,z'
loop_
_atom_site_label
_atom_site_fract_x
_atom_site_fract_y
_atom_site_fract_z
Tb1 0.000 0.000 0.000
H1 0.000 0.500 0.929
H2 0.250 0.250 0.375
Ru1 0.000 0.500 0.537
```

Main lines, low angle first (2θ = 10–90°):
20.18 deg, intensity 5, hkl 0 0 1
26.77 deg, intensity 4, hkl 1 1 0
33.75 deg, intensity 100, hkl 1 1 1
38.22 deg, intensity 36, hkl 2 0 0
41.02 deg, intensity 14, hkl 0 0 2
55.16 deg, intensity 13, hkl 2 2 0
57.28 deg, intensity 16, hkl 0 2 2
57.37 deg, intensity 5, hkl 2 0 2
66.25 deg, intensity 28, hkl 3 1 1
70.09 deg, intensity 11, hkl 1 1 3
70.98 deg, intensity 11, hkl 2 2 2
81.80 deg, intensity 4, hkl 4 0 0